(1)
For CePm4Er8, a GGA-PBE-relaxed structure gives the computed powder diffractogram in this record (Cu Ka).
No peak broadening, texture or thermal motion is included.

Cell and atoms:
```
data_CePm4Er8
_cell_length_a 10.9774
_cell_length_b 10.9774
_cell_length_c 13.4184
_cell_angle_alpha 90.00
_cell_angle_beta 90.00
_cell_angle_gamma 120.00
_space_group_name_H-M_alt 'R -3 m'
_space_group_IT_number 166
_space_group_name_Hall '-R 3 2"'
loop_
_atom_site_label
_atom_site_fract_x
_atom_site_fract_y
_atom_site_fract_z
_atom_site_occupancy
Ce1 0.0000 0.0000 0.0000 1
Pm1 0.0000 0.0000 0.5000 1
Pm2 0.0000 0.5000 0.5000 1
Er1 0.0000 0.0000 0.2583 1
Er2 0.0111 0.5055 0.2468 1
```

Top 12 peaks for 10° ≤ 2θ ≤ 90°, in order of rising 2θ:
| 2theta | intensity |
| --- | --- |
| 19.82 | 11 |
| 22.93 | 10 |
| 25.68 | 4 |
| 32.65 | 100 |
| 38.49 | 6 |
| 46.85 | 18 |
| 52.78 | 4 |
| 58.25 | 28 |
| 58.34 | 9 |
| 68.36 | 6 |
| 68.46 | 6 |
| 77.89 | 16 |

(2)
For Nd8Sm3Th, a GGA-PBE-relaxed structure gives the computed powder diffractogram in this record (Cu Ka).
No peak broadening, texture or thermal motion is included.

Cell and atoms:
```
data_Nd8Sm3Th
_cell_length_a 6.718
_cell_length_b 8.667
_cell_length_c 8.676
_cell_angle_alpha 103.56
_cell_angle_beta 109.31
_cell_angle_gamma 109.24
_space_group_name_H-M_alt 'P 1'
_space_group_IT_number 1
loop_
_space_group_symop_operation_xyz
'x,y,z'
loop_
_atom_site_label
_atom_site_fract_x
_atom_site_fract_y
_atom_site_fract_z
_atom_site_occupancy
Nd1 0.000 0.000 0.000 1
Nd2 0.000 0.252 0.747 1
Nd3 0.005 0.923 0.413 1
Nd4 0.008 0.670 0.670 1
Nd5 0.495 0.805 0.529 1
Nd6 0.498 0.544 0.784 1
Nd7 0.500 0.884 0.116 1
Nd8 0.502 0.217 0.454 1
Sm1 0.503 0.470 0.191 1
Sm2 0.991 0.329 0.329 1
Sm3 0.996 0.584 0.076 1
Th1 0.502 0.139 0.864 1
```

Top 12 peaks for 10° ≤ 2θ ≤ 90°, in order of rising 2θ:
| 2theta | intensity |
| --- | --- |
| 30.25 | 91 |
| 30.60 | 100 |
| 31.49 | 47 |
| 31.85 | 42 |
| 41.67 | 18 |
| 45.40 | 31 |
| 51.07 | 12 |
| 53.15 | 17 |
| 55.30 | 17 |
| 55.51 | 19 |
| 56.18 | 17 |
| 60.70 | 21 |

(3)
For K4Np3MnTe8, a GGA-PBE-relaxed structure gives the computed powder diffractogram in this record (Cu Ka).
No peak broadening, texture or thermal motion is included.

Cell and atoms:
```
data_K4Np3MnTe8
_cell_length_a 15.589
_cell_length_b 9.014
_cell_length_c 9.671
_cell_angle_alpha 90.00
_cell_angle_beta 122.44
_cell_angle_gamma 90.00
_space_group_name_H-M_alt 'C 1 2/m 1'
_space_group_IT_number 12
loop_
_space_group_symop_operation_xyz
'x,y,z'
'-x,-y,-z'
'-x,y,-z'
'x,-y,z'
'x+1/2,y+1/2,z'
'-x+1/2,-y+1/2,-z'
'-x+1/2,y+1/2,-z'
'x+1/2,-y+1/2,z'
loop_
_atom_site_label
_atom_site_fract_x
_atom_site_fract_y
_atom_site_fract_z
_atom_site_occupancy
K1 0.000 0.000 0.000 1
K2 0.000 0.500 0.000 1
K3 0.250 0.250 0.000 1
Np1 0.000 0.000 0.500 1
Np2 0.250 0.250 0.500 1
Mn1 0.000 0.500 0.500 1
Te1 0.013 0.259 0.299 1
Te2 0.228 0.500 0.701 1
Te3 0.237 0.000 0.711 1
```

Top 12 peaks for 10° ≤ 2θ ≤ 90°, in order of rising 2θ:
| 2theta | intensity |
| --- | --- |
| 10.84 | 59 |
| 23.09 | 10 |
| 27.11 | 100 |
| 34.44 | 24 |
| 37.35 | 33 |
| 40.04 | 38 |
| 41.60 | 15 |
| 47.00 | 14 |
| 49.03 | 19 |
| 55.90 | 10 |
| 61.31 | 10 |
| 65.08 | 16 |

(4)
For AlInPb2, a GGA-PBE-relaxed structure gives the computed powder diffractogram in this record (Cu Ka).
No peak broadening, texture or thermal motion is included.

Cell and atoms:
```
data_AlInPb2
_cell_length_a 4.842
_cell_length_b 4.842
_cell_length_c 9.403
_cell_angle_alpha 90.00
_cell_angle_beta 90.00
_cell_angle_gamma 90.00
_space_group_name_H-M_alt 'I 4/m m m'
_space_group_IT_number 139
_space_group_name_Hall '-I 4 2'
loop_
_atom_site_label
_atom_site_fract_x
_atom_site_fract_y
_atom_site_fract_z
_atom_site_occupancy
Al1 0.000 0.000 0.000 1
In1 0.000 0.000 0.500 1
Pb1 0.000 0.500 0.250 1
```

Top 12 peaks for 10° ≤ 2θ ≤ 90°, in order of rising 2θ:
| 2theta | intensity |
| --- | --- |
| 18.87 | 20 |
| 26.02 | 19 |
| 32.34 | 100 |
| 37.13 | 35 |
| 38.29 | 16 |
| 41.97 | 12 |
| 53.53 | 12 |
| 54.40 | 23 |
| 63.94 | 29 |
| 65.50 | 13 |
| 67.70 | 12 |
| 89.48 | 12 |

(5)
For ZrGa6Fe6, a GGA-PBE-relaxed structure gives the computed powder diffractogram in this record (Cu Ka).
No peak broadening, texture or thermal motion is included.

Cell and atoms:
```
data_ZrGa6Fe6
_cell_length_a 4.984
_cell_length_b 8.423
_cell_length_c 8.568
_cell_angle_alpha 90.00
_cell_angle_beta 90.00
_cell_angle_gamma 90.00
_space_group_name_H-M_alt 'I m m m'
_space_group_IT_number 71
_space_group_name_Hall '-I 2 2'
loop_
_atom_site_label
_atom_site_fract_x
_atom_site_fract_y
_atom_site_fract_z
_atom_site_occupancy
Zr1 0.000 0.000 0.000 1
Ga1 0.000 0.000 0.341 1
Ga2 0.000 0.331 0.000 1
Ga3 0.000 0.500 0.323 1
Fe1 0.000 0.257 0.500 1
Fe2 0.250 0.250 0.250 1
```

Top 12 peaks for 10° ≤ 2θ ≤ 90°, in order of rising 2θ:
| 2theta | intensity |
| --- | --- |
| 36.04 | 38 |
| 36.25 | 74 |
| 41.94 | 56 |
| 42.15 | 81 |
| 42.32 | 100 |
| 42.56 | 45 |
| 42.95 | 60 |
| 47.40 | 94 |
| 47.63 | 43 |
| 48.12 | 32 |
| 76.96 | 33 |
| 78.27 | 35 |

(6)
For La2Pm6Tm, a GGA-PBE-relaxed structure gives the computed powder diffractogram in this record (Cu Ka).
No peak broadening, texture or thermal motion is included.

Cell and atoms:
```
data_La2Pm6Tm
_cell_length_a 10.962
_cell_length_b 10.985
_cell_length_c 5.174
_cell_angle_alpha 90.00
_cell_angle_beta 90.00
_cell_angle_gamma 90.00
_space_group_name_H-M_alt 'P n n m'
_space_group_IT_number 58
loop_
_space_group_symop_operation_xyz
'x,y,z'
'-x,-y,-z'
'-x,-y,z'
'x,y,-z'
'x+1/2,-y+1/2,-z+1/2'
'-x+1/2,y+1/2,z+1/2'
'-x+1/2,y+1/2,-z+1/2'
'x+1/2,-y+1/2,z+1/2'
loop_
_atom_site_label
_atom_site_fract_x
_atom_site_fract_y
_atom_site_fract_z
_atom_site_occupancy
La1 0.164 0.164 0.000 1
Pm1 0.000 0.333 0.500 1
Pm2 0.167 0.500 0.000 1
Pm3 0.168 0.833 0.000 1
Tm1 0.000 0.000 0.500 1
```

Top 11 peaks for 10° ≤ 2θ ≤ 90°, in order of rising 2θ:
| 2theta | intensity |
| --- | --- |
| 29.92 | 100 |
| 34.68 | 51 |
| 49.85 | 30 |
| 49.91 | 6 |
| 59.24 | 43 |
| 62.16 | 12 |
| 73.18 | 6 |
| 80.96 | 9 |
| 81.07 | 9 |
| 83.57 | 14 |
| 83.67 | 3 |

(7)
For Cd3B2Rh5, a GGA-PBE-relaxed structure gives the computed powder diffractogram in this record (Cu Ka).
No peak broadening, texture or thermal motion is included.

Cell and atoms:
```
data_Cd3B2Rh5
_cell_length_a 9.870
_cell_length_b 9.870
_cell_length_c 2.938
_cell_angle_alpha 90.00
_cell_angle_beta 90.00
_cell_angle_gamma 90.00
_space_group_name_H-M_alt 'P 4/m b m'
_space_group_IT_number 127
_space_group_name_Hall '-P 4 2ab'
loop_
_atom_site_label
_atom_site_fract_x
_atom_site_fract_y
_atom_site_fract_z
_atom_site_occupancy
Cd1 0.000 0.000 0.000 1
Cd2 0.179 0.321 0.000 1
B1 0.122 0.622 0.000 1
Rh1 0.000 0.500 0.500 1
Rh2 0.069 0.771 0.500 1
```

Top 12 peaks for 10° ≤ 2θ ≤ 90°, in order of rising 2θ:
| 2theta | intensity |
| --- | --- |
| 36.41 | 24 |
| 36.75 | 81 |
| 37.57 | 96 |
| 40.12 | 51 |
| 40.89 | 58 |
| 42.24 | 100 |
| 45.28 | 35 |
| 63.31 | 19 |
| 64.97 | 26 |
| 68.77 | 23 |
| 75.39 | 21 |
| 76.01 | 23 |